[1]
For ZnInNi, a structure optimized by DFT (GGA-PBE) gives the computed powder diffractogram in this record (Cu Kα X-rays).
Kinematic intensities with the Lorentz-polarization factor, no thermal factor.

Main lines, by angle (10° ≤ 2θ ≤ 80°):
d (Å)  2θ/deg  I_rel
3.713  23.97  12
2.334  38.57  100
2.143  42.16  72
1.579  58.46  28
1.501  61.83  7
1.271  74.67  27
1.238  77.07  11
1.229  77.68  22

Structure:
```
ZnInNi
1.0
4.287 0.000 0.000
-2.143 3.713 0.000
0.000 0.000 3.001
Zn In Ni
1 1 1
Direct
0.000 0.000 0.000
0.667 0.333 0.500
0.333 0.667 0.000
```

[2]
For Zn3InNi4, a structure optimized by DFT (GGA-PBE) gives the computed powder diffractogram in this record (Cu Kα X-rays).
Kinematic intensities with the Lorentz-polarization factor, no thermal factor.

Main lines, by angle (10° ≤ 2θ ≤ 80°):
d (Å)  2θ/deg  I_rel
2.967  30.12  4
2.726  32.85  4
2.108  42.91  100
2.088  43.34  100
1.483  62.63  30
1.221  78.31  14
1.209  79.22  30
1.205  79.52  15

Structure:
```
Zn3InNi4
1.0
2.088 1.205 6.918
-2.088 1.205 6.918
0.000 -2.411 6.918
Zn In Ni
3 1 4
Direct
0.000 0.000 0.000
0.252 0.252 0.252
0.748 0.748 0.748
0.500 0.500 0.500
0.118 0.118 0.118
0.373 0.373 0.373
0.627 0.627 0.627
0.882 0.882 0.882
```